No. 1
For SmPuTh2Sb5, DFT lattice parameters and positions (PBE) gives the simulated X-ray powder pattern in this record (a wavelength of 1.5418 Å).

a b c (Å): 5.354 5.354 11.542
angles (deg): 90.00 90.00 90.00
Fractional positions:
Sm1 0.000 0.000 0.000
Pu1 0.000 0.000 0.500
Th1 0.500 0.500 0.193
Th2 0.500 0.500 0.807
Sb1 0.000 0.000 0.252
Sb2 0.000 0.000 0.748
Sb3 0.000 0.500 0.000
Sb4 0.500 0.000 0.000
Sb5 0.500 0.500 0.500

Most intense lines, 5 to 70 degrees two-theta, in order of rising 2θ:
2theta  I (rel.)
23.50  100
30.99  31
33.20  64
33.47  94
46.26  41
48.06  34

No. 2
For PuSn2Sb2, DFT lattice parameters and positions (PBE) gives the simulated X-ray powder pattern in this record (a wavelength of 1.5418 Å).

a b c (Å): 13.563 13.563 4.483
angles (deg): 90.00 90.00 160.98
Fractional positions:
Pu1 0.159 0.841 0.750
Pu2 0.841 0.159 0.250
Sn1 0.055 0.945 0.250
Sn2 0.449 0.551 0.250
Sn3 0.551 0.449 0.750
Sn4 0.945 0.055 0.750
Sb1 0.250 0.750 0.250
Sb2 0.357 0.643 0.750
Sb3 0.643 0.357 0.250
Sb4 0.750 0.250 0.750

Most intense lines, 5 to 70 degrees two-theta, in order of rising 2θ:
2theta  I (rel.)
32.84  100
33.49  24
40.24  30
53.32  24
59.47  13
68.47  25

No. 3
For Pu2SnSb2, DFT lattice parameters and positions (PBE) gives the simulated X-ray powder pattern in this record (a wavelength of 1.5418 Å).

a b c (Å): 5.067 5.067 12.841
angles (deg): 90.00 90.00 120.00
Fractional positions:
Pu1 0.333 0.667 0.110
Pu2 0.333 0.667 0.390
Pu3 0.667 0.333 0.610
Pu4 0.667 0.333 0.890
Sn1 0.000 0.000 0.250
Sn2 0.000 0.000 0.750
Sb1 0.000 0.000 0.000
Sb2 0.000 0.000 0.500
Sb3 0.333 0.667 0.750
Sb4 0.667 0.333 0.250

Most intense lines, 5 to 70 degrees two-theta, in order of rising 2θ:
2theta  I (rel.)
21.40  23
29.14  100
34.62  48
35.43  99
46.51  28
59.80  27

No. 4
For PuZnSnSb, DFT lattice parameters and positions (PBE) gives the simulated X-ray powder pattern in this record (a wavelength of 1.5418 Å).

a b c (Å): 4.369 4.512 4.757
angles (deg): 90.00 90.00 90.00
Fractional positions:
Pu1 0.000 0.000 0.000
Zn1 0.000 0.500 0.500
Sn1 0.500 0.000 0.500
Sb1 0.500 0.500 0.000

Most intense lines, 5 to 70 degrees two-theta, in order of rising 2θ:
2theta  I (rel.)
34.23  100
37.82  19
39.96  16
41.33  15
66.01  15
68.92  13

No. 5
For TbPu5Sb6, DFT lattice parameters and positions (PBE) gives the simulated X-ray powder pattern in this record (a wavelength of 1.5418 Å).

a b c (Å): 7.657 7.657 7.647
angles (deg): 99.58 99.58 119.92
Fractional positions:
Tb1 0.000 0.000 0.000
Pu1 0.167 0.833 0.500
Pu2 0.333 0.667 0.000
Pu3 0.500 0.500 0.500
Pu4 0.667 0.333 0.000
Pu5 0.833 0.167 0.500
Sb1 0.083 0.417 0.250
Sb2 0.250 0.250 0.750
Sb3 0.417 0.083 0.250
Sb4 0.583 0.917 0.750
Sb5 0.750 0.750 0.250
Sb6 0.917 0.583 0.750

Most intense lines, 5 to 70 degrees two-theta, in order of rising 2θ:
2theta  I (rel.)
28.56  100
40.83  77
50.56  21
59.11  13
66.91  24
67.00  12

No. 6
For TbPu2ThSb4, DFT lattice parameters and positions (PBE) gives the simulated X-ray powder pattern in this record (a wavelength of 1.5418 Å).

a b c (Å): 7.695 4.462 7.708
angles (deg): 90.00 109.56 90.00
Fractional positions:
Tb1 0.000 0.000 0.000
Pu1 0.500 0.000 0.500
Pu2 0.500 0.500 0.000
Th1 0.000 0.500 0.500
Sb1 0.251 0.500 0.247
Sb2 0.253 0.000 0.755
Sb3 0.747 0.000 0.245
Sb4 0.749 0.500 0.753

Most intense lines, 5 to 70 degrees two-theta, in order of rising 2θ:
2theta  I (rel.)
28.36  100
40.49  39
40.59  39
50.13  14
50.29  14
66.42  18